No. 1
Simulated PXRD pattern
Compound: Sn3HgCl12
Radiation: λ = 1.5418 Å (Cu Kα)
Structure: a crystal structure in Alexandria, relaxed with GGA-PBE
No peak broadening, texture or thermal motion is included.

Largest 10 diffraction maxima, low angle first, 2θ from 10° to 80°:
d/Å  I_rel  h k l
6.928  21  1 0 4
5.930  31  0 0 6
5.617  100  1 1 3
5.274  23  2 0 2
4.343  32  1 1 6
4.064  13  1 2 2
3.682  37  3 0 0
3.128  30  3 0 6
3.079  15  2 2 3
2.689  17  1 1 12

```
data_Sn3HgCl12
_chemical_formula_sum 'Sn18 Hg6 Cl72'
_cell_length_a 12.7539
_cell_length_b 12.7539
_cell_length_c 35.5797
_cell_angle_alpha 90.00
_cell_angle_beta 90.00
_cell_angle_gamma 120.00
_symmetry_space_group_name_H-M 'R 3 c'
_symmetry_Int_Tables_number 161
_symmetry_space_group_name_Hall 'R 3 -2"c'
loop_
_atom_site_label
_atom_site_type_symbol
_atom_site_fract_x
_atom_site_fract_y
_atom_site_fract_z
Sn1 Sn 0.0281 0.3468 0.0000
Hg1 Hg 0.0000 0.0000 0.2120
Cl1 Cl 0.0205 0.4004 0.0618
Cl2 Cl 0.0437 0.4983 0.3117
Cl3 Cl 0.0737 0.2220 0.2959
Cl4 Cl 0.0774 0.5205 0.1635
```

---

No. 2
Simulated PXRD pattern
Compound: YSnHgCl6
Radiation: λ = 1.5418 Å (Cu Kα)
Structure: a crystal structure in Alexandria, relaxed with GGA-PBE
No peak broadening, texture or thermal motion is included.

Largest 10 diffraction maxima, low angle first, 2θ from 10° to 80°:
d/Å  I_rel  h k l
4.487  100  1 0 1
3.580  28  1 1 0
3.136  15  2 -1 1
2.798  30  2 0 1
2.406  56  2 -1 2
2.205  32  3 -1 1
2.067  24  3 0 0
1.663  14  3 1 1
1.568  14  2 2 2
1.249  13  5 -1 2

```
data_YSnHgCl6
_chemical_formula_sum 'Y1 Sn1 Hg1 Cl6'
_cell_length_a 7.1597
_cell_length_b 7.1597
_cell_length_c 6.5001
_cell_angle_alpha 90.00
_cell_angle_beta 90.00
_cell_angle_gamma 120.00
_symmetry_space_group_name_H-M 'P 3 1 2'
_symmetry_Int_Tables_number 149
loop_
_symmetry_equiv_pos_as_xyz
'x,y,z'
'-y,x-y,z'
'-x+y,-x,z'
'-y,-x,-z'
'-x+y,y,-z'
'x,x-y,-z'
loop_
_atom_site_label
_atom_site_type_symbol
_atom_site_fract_x
_atom_site_fract_y
_atom_site_fract_z
Y1 Y 0.0000 0.0000 0.0000
Sn1 Sn 0.6667 0.3333 0.0000
Hg1 Hg 0.3333 0.6667 0.5000
Cl1 Cl 0.3150 0.0145 0.2310
```

---

No. 3
Simulated PXRD pattern
Compound: ZnSnHgCl4
Radiation: λ = 1.5418 Å (Cu Kα)
Structure: a crystal structure in Alexandria, relaxed with GGA-PBE
No peak broadening, texture or thermal motion is included.

Largest 10 diffraction maxima, low angle first, 2θ from 10° to 80°:
d/Å  I_rel  h k l
7.956  45  0 0 1
7.452  23  1 1 0
4.664  100  0 2 0
3.999  35  2 0 -2
3.777  49  3 1 0
3.275  43  3 1 -2
3.073  35  3 1 1
3.034  74  2 2 -2
2.356  32  1 1 3
1.917  30  1 3 3

```
data_ZnSnHgCl4
_chemical_formula_sum 'Zn4 Sn4 Hg4 Cl16'
_cell_length_a 13.124
_cell_length_b 9.327
_cell_length_c 8.425
_cell_angle_alpha 90.00
_cell_angle_beta 109.22
_cell_angle_gamma 90.00
_symmetry_space_group_name_H-M 'C 1 2/m 1'
_symmetry_Int_Tables_number 12
loop_
_symmetry_equiv_pos_as_xyz
'x,y,z'
'-x,-y,-z'
'-x,y,-z'
'x,-y,z'
'x+1/2,y+1/2,z'
'-x+1/2,-y+1/2,-z'
'-x+1/2,y+1/2,-z'
'x+1/2,-y+1/2,z'
loop_
_atom_site_label
_atom_site_type_symbol
_atom_site_fract_x
_atom_site_fract_y
_atom_site_fract_z
Zn1 Zn 0.151 0.000 0.299
Sn1 Sn 0.228 0.000 0.913
Hg1 Hg 0.032 0.500 0.801
Cl1 Cl 0.026 0.000 0.711
Cl2 Cl 0.175 0.185 0.123
Cl3 Cl 0.231 0.500 0.443
```

---

No. 4
Simulated PXRD pattern
Compound: SrHgCl
Radiation: λ = 1.5418 Å (Cu Kα)
Structure: a crystal structure in Alexandria, relaxed with GGA-PBE
No peak broadening, texture or thermal motion is included.

Largest 10 diffraction maxima, low angle first, 2θ from 10° to 80°:
d/Å  I_rel  h k l
4.792  23  0 0 2
3.194  39  0 0 3
2.882  100  1 1 1
2.557  98  1 1 2
2.137  36  2 0 0
2.087  20  2 0 1
1.877  19  1 1 4
1.776  29  2 0 3
1.338  19  3 1 1
1.301  23  3 1 2

```
data_SrHgCl
_chemical_formula_sum 'Sr2 Hg2 Cl2'
_cell_length_a 4.274
_cell_length_b 4.275
_cell_length_c 9.583
_cell_angle_alpha 90.00
_cell_angle_beta 90.00
_cell_angle_gamma 90.00
_symmetry_space_group_name_H-M 'P m m n'
_symmetry_Int_Tables_number 59
loop_
_symmetry_equiv_pos_as_xyz
'x,y,z'
'-x,-y,-z'
'-x+1/2,-y+1/2,z'
'x+1/2,y+1/2,-z'
'x+1/2,-y,-z'
'-x+1/2,y,z'
'-x,y+1/2,-z'
'x,-y+1/2,z'
loop_
_atom_site_label
_atom_site_type_symbol
_atom_site_fract_x
_atom_site_fract_y
_atom_site_fract_z
Sr1 Sr 0.250 0.250 0.214
Hg1 Hg 0.250 0.750 0.499
Cl1 Cl 0.250 0.250 0.895
```

---

Question: Which formula does entry 3 have?
Answer: ZnSnHgCl4

---

Question: Which formula does entry 4 have?
Answer: SrHgCl